Starting from the GGA-PBE geometry in Alexandria, the PXRD pattern of K4Tl was simulated for CuKα.
No peak broadening, texture or thermal motion is included.

Peak list (10 most intense, 2θ from 5° to 70°, most intense first)
d/Å	Rel. int.
8.189	100
9.147	69
2.845	31
2.748	30
3.168	29
3.398	29
4.095	21
5.076	21
3.235	19
1.719	18

Structure:
abc: 10.7907 10.7907 10.7907
angles: 129.78 64.08 142.87
Element x y z (fractional)
K 0.0800 0.6687 0.7487
K 0.1758 0.1426 0.3185
K 0.3242 0.6426 0.9668
K 0.4200 0.1687 0.5887
K 0.5800 0.8313 0.4113
K 0.6758 0.3574 0.0332
K 0.8242 0.8574 0.6815
K 0.9200 0.3313 0.2513
Tl 0.2500 0.2500 0.0000
Tl 0.7500 0.7500 0.0000